SrIrO3: computed powder X-ray diffraction pattern (Cu Kα X-rays), based on a structure optimized by DFT (PBE).

Principal peaks in the range 5° ≤ 2θ ≤ 70°, low angle first:
d (Å)	Rel. int.
4.629	38
4.522	21
4.050	27
2.909	88
2.882	32
2.846	53
2.772	100
2.025	44
1.655	18
1.629	38

Structure:
Cell lengths 5.5459, 5.5459, 14.4857 Å; angles 90.00, 90.00, 118.26 degrees
Element x y z (fractional)
Sr 0.0083 0.9917 0.7500
Sr 0.3234 0.6766 0.1081
Sr 0.3234 0.6766 0.3919
Sr 0.6766 0.3234 0.6081
Sr 0.6766 0.3234 0.8919
Sr 0.9917 0.0083 0.2500
Ir 0.0000 0.0000 0.0000
Ir 0.0000 0.0000 0.5000
Ir 0.3390 0.6610 0.6520
Ir 0.3390 0.6610 0.8480
Ir 0.6610 0.3390 0.1520
Ir 0.6610 0.3390 0.3480
O 0.0244 0.5186 0.7500
O 0.2003 0.2789 0.5984
O 0.2003 0.2789 0.9016
O 0.2018 0.7982 0.5429
O 0.2018 0.7982 0.9571
O 0.2789 0.2003 0.0984
O 0.2789 0.2003 0.4016
O 0.4814 0.9756 0.7500
O 0.4872 0.5128 0.7500
O 0.5128 0.4872 0.2500
O 0.5186 0.0244 0.2500
O 0.7211 0.7997 0.5984
O 0.7211 0.7997 0.9016
O 0.7982 0.2018 0.0429
O 0.7982 0.2018 0.4571
O 0.7997 0.7211 0.0984
O 0.7997 0.7211 0.4016
O 0.9756 0.4814 0.2500

Be2Tl2ZnO6F8: computed powder X-ray diffraction pattern (Cu Kα X-rays), based on a structure optimized by DFT (PBE).

Principal peaks in the range 5° ≤ 2θ ≤ 70°, low angle first:
d (Å)	Rel. int.
4.890	63
4.827	100
4.042	39
3.787	32
3.667	38
3.249	46
3.038	24
2.972	24
2.888	22
2.206	24

Structure:
Cell lengths 5.2467, 12.3985, 7.9646 Å; angles 90.00, 92.94, 90.00 degrees
Element x y z (fractional)
Be 0.2453 0.1215 0.4133
Be 0.2453 0.3785 0.9133
Be 0.7547 0.6215 0.0867
Be 0.7547 0.8785 0.5867
Tl 0.2195 0.6744 0.8305
Tl 0.2195 0.8256 0.3305
Tl 0.7805 0.1744 0.6695
Tl 0.7805 0.3256 0.1695
Zn 0.5000 0.0000 0.0000
Zn 0.5000 0.5000 0.5000
O 0.0719 0.0402 0.9937
O 0.0719 0.4598 0.4937
O 0.2874 0.6583 0.4271
O 0.2874 0.8417 0.9271
O 0.4329 0.6425 0.5824
O 0.4329 0.8575 0.0824
O 0.5671 0.1425 0.9176
O 0.5671 0.3575 0.4176
O 0.7126 0.1583 0.0729
O 0.7126 0.3417 0.5729
O 0.9281 0.5402 0.5063
O 0.9281 0.9598 0.0063
F 0.0766 0.2146 0.3344
F 0.0766 0.2854 0.8344
F 0.1656 0.1124 0.6014
F 0.1656 0.3876 0.1014
F 0.2212 0.0134 0.3086
F 0.2212 0.4866 0.8086
F 0.4593 0.6413 0.0738
F 0.4593 0.8587 0.5738
F 0.5407 0.1413 0.4262
F 0.5407 0.3587 0.9262
F 0.7788 0.5134 0.1914
F 0.7788 0.9866 0.6914
F 0.8344 0.6124 0.8986
F 0.8344 0.8876 0.3986
F 0.9234 0.7146 0.1656
F 0.9234 0.7854 0.6656